Theoretical powder diffraction line list
Compound: SrLiSb2Pd4
Radiation: Cu Kα
Structure: the PBE geometry in Alexandria
Peak positions follow from Bragg's law for the DFT cell and can differ from measured ones.

Structure:
```
SrLiSb2Pd4
1.0
2.2724 1.3120 8.8740
-2.2724 1.3120 8.8740
0.0000 -2.6239 8.8740
Sr Li Sb Pd
1 1 2 4
Cartesian
0.0000 0.0000 0.0000 Sr
0.0000 0.0000 13.3111 Li
0.0000 0.0000 6.3428 Sb
0.0000 0.0000 20.2793 Sb
0.0000 0.0000 3.5910 Pd
0.0000 0.0000 10.8425 Pd
0.0000 0.0000 15.7796 Pd
0.0000 0.0000 23.0312 Pd
```

Main lines, in order of rising 2θ (5 to 70 degrees two-theta):
- 8.874 Å, 2θ 9.97, rel. 19.8
- 4.437 Å, 2θ 20.01, rel. 20.7
- 3.165 Å, 2θ 28.20, rel. 34.1
- 2.735 Å, 2θ 32.74, rel. 25.2
- 2.541 Å, 2θ 35.32, rel. 52.6
- 2.272 Å, 2θ 39.66, rel. 100.0
- 2.062 Å, 2θ 43.92, rel. 34.5
- 2.023 Å, 2θ 44.81, rel. 14.8
- 1.694 Å, 2θ 54.14, rel. 15.1
- 1.358 Å, 2θ 69.17, rel. 14.3



Theoretical powder diffraction line list
Compound: SrLiSb2Pd
Radiation: Cu Kα
Structure: the PBE geometry in Alexandria
Peak positions follow from Bragg's law for the DFT cell and can differ from measured ones.

Structure:
```
SrLiSb2Pd
1.0
4.5867 0.0000 0.0000
0.0000 4.5867 0.0000
0.0000 0.0000 11.5649
Sr Li Sb Pd
2 2 4 2
Cartesian
0.0000 0.0000 0.0000 Sr
2.2933 2.2933 5.7824 Sr
0.0000 2.2933 2.8912 Li
2.2933 0.0000 8.6737 Li
0.0000 0.0000 4.3323 Sb
0.0000 0.0000 7.2326 Sb
2.2933 2.2933 1.4501 Sb
2.2933 2.2933 10.1148 Sb
0.0000 2.2933 8.6737 Pd
2.2933 0.0000 2.8912 Pd
```

Main lines, in order of rising 2θ (5 to 70 degrees two-theta):
- 4.264 Å, 2θ 20.83, rel. 56.9
- 3.243 Å, 2θ 27.50, rel. 38.2
- 2.951 Å, 2θ 30.29, rel. 100.0
- 2.829 Å, 2θ 31.63, rel. 45.8
- 2.293 Å, 2θ 39.29, rel. 61.5
- 2.158 Å, 2θ 41.86, rel. 37.2
- 2.065 Å, 2θ 43.84, rel. 35.0
- 1.811 Å, 2θ 50.39, rel. 47.3
- 1.622 Å, 2θ 56.77, rel. 20.6
- 1.535 Å, 2θ 60.31, rel. 26.7